1.
The following is a theoretical X-ray diffraction stick pattern of CeZr2CuN4. It was derived from the GGA-PBE geometry in Alexandria, using Cu Ka.
Peak positions follow from Bragg's law for the DFT cell and can differ from measured ones.

Top 12 peaks for 15° ≤ 2θ ≤ 90°, sorted by position:
2θ/deg, intensity
28.94, 648
31.96, 357
32.56, 1000
32.69, 514
37.62, 432
40.21, 843
46.37, 191
49.92, 200
52.76, 282
55.62, 230
55.76, 209
56.08, 294

Crystal structure
Cell lengths 5.721, 5.721, 11.200 Å; angles 90.00, 90.00, 146.50 degrees
Positions (direct):
1 Ce 0.109 0.891 0.750
2 Ce 0.891 0.109 0.250
3 Zr 0.369 0.631 0.553
4 Zr 0.369 0.631 0.947
5 Zr 0.631 0.369 0.053
6 Zr 0.631 0.369 0.447
7 Cu 0.158 0.842 0.250
8 Cu 0.842 0.158 0.750
9 N 0.000 0.000 0.000
10 N 0.000 0.000 0.500
11 N 0.272 0.728 0.114
12 N 0.272 0.728 0.386
13 N 0.453 0.547 0.750
14 N 0.547 0.453 0.250
15 N 0.728 0.272 0.614
16 N 0.728 0.272 0.886

2.
The following is a theoretical X-ray diffraction stick pattern of Na2Ce2CuS6. It was derived from the GGA-PBE geometry in Alexandria, using Cu Ka.
Peak positions follow from Bragg's law for the DFT cell and can differ from measured ones.

Top 12 peaks for 15° ≤ 2θ ≤ 90°, sorted by position:
2θ/deg, intensity
26.12, 408
26.96, 130
27.43, 161
31.20, 1000
32.40, 406
40.53, 210
44.32, 174
44.88, 293
45.09, 171
46.31, 296
48.71, 122
56.60, 193

Crystal structure
Cell lengths 6.909, 6.909, 7.018 Å; angles 98.22, 98.22, 121.61 degrees
Positions (direct):
1 Na 0.160 0.840 0.000
2 Na 0.840 0.160 0.000
3 Ce 0.335 0.665 0.500
4 Ce 0.665 0.335 0.500
5 Cu 0.000 0.000 0.500
6 S 0.066 0.413 0.725
7 S 0.222 0.222 0.305
8 S 0.413 0.066 0.725
9 S 0.587 0.934 0.275
10 S 0.778 0.778 0.695
11 S 0.934 0.587 0.275

Number 2 is which compound?
Na2Ce2CuS6